Computed powder diffractogram of Dy2Y6Er3Sc for Cu Kα (weighted mean of Kα1 and Kα2), from a DFT-relaxed cell (GGA-PBE, Alexandria).
Neutral-atom scattering factors, no anomalous dispersion.

Crystal structure
```
data_Dy2Y6Er3Sc
_chemical_formula_sum 'Dy4 Y12 Er6 Sc2'
_cell_length_a 6.1078
_cell_length_b 10.5691
_cell_length_c 11.6920
_cell_angle_alpha 90.00
_cell_angle_beta 100.00
_cell_angle_gamma 90.00
_symmetry_space_group_name_H-M 'C 1 2/m 1'
_symmetry_Int_Tables_number 12
_symmetry_space_group_name_Hall '-C 2y'
loop_
_atom_site_label
_atom_site_type_symbol
_atom_site_fract_x
_atom_site_fract_y
_atom_site_fract_z
_atom_site_occupancy
Dy1 Dy 0.0000 0.1665 0.0000 1
Y1 Y 0.2478 0.3345 0.2484 1
Y2 Y 0.2488 0.5000 0.7513 1
Er1 Er 0.0000 0.0000 0.5000 1
Er2 Er 0.0000 0.3336 0.5000 1
Sc1 Sc 0.0000 0.5000 0.0000 1
```

Largest 8 diffraction maxima, in order of rising 2θ, 2θ = 10–90°:
(hkl)  d/Å  Rel. int.
1 3 1  2.878  100
2 0 2  2.493  50
1 3 5  1.762  35
4 0 0  1.504  14
0 6 4  1.503  27
2 6 2  1.439  12
4 6 0  1.144  14
5 3 1  1.115  16